Dy3Tm2Lu2Ni2Te2: computed powder X-ray diffraction pattern (a wavelength of 1.5418 Å), based on the GGA-PBE geometry in OQMD.
Lines closer than 0.1° are merged.

Structural model:
Cell lengths 3.832, 15.461, 9.452 Å; angles 90.00, 90.00, 90.00 degrees
Space group Imm2 (No. 44)
Inequivalent atoms, fractional coordinates:
Dy (0.000, 0.000, 0.000) [2 per cell]
Dy (0.000, 0.353, 0.732) [4 per cell]
Tm (0.000, 0.316, 0.378) [4 per cell]
Lu (0.000, 0.135, 0.584) [4 per cell]
Ni (0.000, 0.239, 0.070) [4 per cell]
Te (0.000, 0.000, 0.343) [2 per cell]
Te (0.000, 0.500, 0.232) [2 per cell]

Main lines, by angle (2θ from 10° to 90°):
index  2θ (°)  intensity
1 3 0  29.04  20.6
0 5 1  30.41  20.6
1 1 2  30.59  52.2
0 3 3  33.33  82.6
1 4 1  34.29  100.0
0 6 0  34.81  82.5
1 0 3  36.94  21.5
2 0 0  47.46  30.7
1 7 2  51.52  24.0
2 3 3  59.23  32.0



Dy2Y2Tm2LuNi2Te2: computed powder X-ray diffraction pattern (a wavelength of 1.5418 Å), based on the GGA-PBE geometry in OQMD.
Lines closer than 0.1° are merged.

Structural model:
Cell lengths 3.836, 15.551, 9.544 Å; angles 90.00, 90.00, 90.00 degrees
Space group Imm2 (No. 44)
Inequivalent atoms, fractional coordinates:
Dy (0.000, 0.133, 0.000) [4 per cell]
Y (0.000, 0.354, 0.852) [4 per cell]
Tm (0.000, 0.316, 0.202) [4 per cell]
Lu (0.000, 0.000, 0.583) [2 per cell]
Ni (0.000, 0.238, 0.512) [4 per cell]
Te (0.000, 0.000, 0.247) [2 per cell]
Te (0.000, 0.500, 0.345) [2 per cell]

Main lines, by angle (2θ from 10° to 90°):
index  2θ (°)  intensity
1 0 1  25.02  22.2
0 5 1  30.22  29.6
1 1 2  30.45  49.8
0 3 3  33.04  79.4
1 4 1  34.16  100.0
0 6 0  34.63  88.3
1 0 3  36.70  22.3
2 0 0  47.40  30.5
1 7 2  51.27  24.2
2 3 3  59.00  35.8



Dy2Y2Tm2LuNi2Te2: computed powder X-ray diffraction pattern (a wavelength of 1.5418 Å), based on the GGA-PBE geometry in OQMD.
Lines closer than 0.1° are merged.

Structural model:
Cell lengths 3.840, 15.587, 9.532 Å; angles 90.00, 90.00, 90.00 degrees
Space group Imm2 (No. 44)
Inequivalent atoms, fractional coordinates:
Dy (0.000, 0.184, 0.000) [4 per cell]
Y (0.000, 0.145, 0.649) [4 per cell]
Tm (0.000, 0.367, 0.797) [4 per cell]
Lu (0.000, 0.500, 0.380) [2 per cell]
Ni (0.000, 0.260, 0.309) [4 per cell]
Te (0.000, 0.000, 0.146) [2 per cell]
Te (0.000, 0.500, 0.040) [2 per cell]

Main lines, by angle (2θ from 10° to 90°):
index  2θ (°)  intensity
1 0 1  25.00  20.2
0 5 1  30.16  26.7
1 1 2  30.44  49.5
0 3 3  33.05  76.8
1 4 1  34.10  100.0
0 6 0  34.59  84.7
1 0 3  36.71  20.2
1 2 3  38.55  18.7
2 0 0  47.35  29.2
2 3 3  58.95  29.2



Dy2YTm2Lu2Ni2Te2: computed powder X-ray diffraction pattern (a wavelength of 1.5418 Å), based on the GGA-PBE geometry in OQMD.
Lines closer than 0.1° are merged.

Structural model:
Cell lengths 3.822, 15.448, 9.465 Å; angles 90.00, 90.00, 90.00 degrees
Space group Imm2 (No. 44)
Inequivalent atoms, fractional coordinates:
Dy (0.000, 0.186, 0.000) [4 per cell]
Y (0.000, 0.500, 0.378) [2 per cell]
Tm (0.000, 0.147, 0.648) [4 per cell]
Lu (0.000, 0.367, 0.796) [4 per cell]
Ni (0.000, 0.261, 0.306) [4 per cell]
Te (0.000, 0.000, 0.147) [2 per cell]
Te (0.000, 0.500, 0.040) [2 per cell]

Main lines, by angle (2θ from 10° to 90°):
index  2θ (°)  intensity
1 0 1  25.13  24.9
1 1 2  30.62  42.9
0 3 3  33.31  80.6
1 4 1  34.34  100.0
0 6 0  34.84  81.0
1 0 3  36.95  17.4
1 2 3  38.80  18.8
2 0 0  47.58  28.6
2 3 3  59.32  31.0
1 10 1  65.96  18.0



Dy2Y2Tm2LuNi2Te2: computed powder X-ray diffraction pattern (a wavelength of 1.5418 Å), based on the GGA-PBE geometry in OQMD.
Lines closer than 0.1° are merged.

Structural model:
Cell lengths 3.827, 15.546, 9.582 Å; angles 90.00, 90.00, 90.00 degrees
Space group Imm2 (No. 44)
Inequivalent atoms, fractional coordinates:
Dy (0.000, 0.132, 0.000) [4 per cell]
Y (0.000, 0.316, 0.202) [4 per cell]
Tm (0.000, 0.354, 0.853) [4 per cell]
Lu (0.000, 0.000, 0.580) [2 per cell]
Ni (0.000, 0.237, 0.506) [4 per cell]
Te (0.000, 0.000, 0.247) [2 per cell]
Te (0.000, 0.500, 0.344) [2 per cell]

Main lines, by angle (2θ from 10° to 90°):
index  2θ (°)  intensity
1 1 2  30.44  50.3
0 3 3  32.94  60.9
1 4 1  34.19  100.0
0 6 0  34.63  46.6
1 0 3  36.65  14.8
1 2 3  38.50  14.6
1 1 4  45.03  14.8
2 0 0  47.52  23.1
1 7 2  51.26  24.6
2 3 3  59.03  25.3



Dy2Y2Lu3Ni2Te2: computed powder X-ray diffraction pattern (a wavelength of 1.5418 Å), based on the GGA-PBE geometry in OQMD.
Lines closer than 0.1° are merged.

Structural model:
Cell lengths 3.829, 15.510, 9.518 Å; angles 90.00, 90.00, 90.00 degrees
Space group Imm2 (No. 44)
Inequivalent atoms, fractional coordinates:
Dy (0.000, 0.147, 0.000) [4 per cell]
Y (0.000, 0.368, 0.148) [4 per cell]
Lu (0.000, 0.185, 0.350) [4 per cell]
Lu (0.000, 0.500, 0.731) [2 per cell]
Ni (0.000, 0.262, 0.659) [4 per cell]
Te (0.000, 0.000, 0.494) [2 per cell]
Te (0.000, 0.500, 0.395) [2 per cell]

Main lines, by angle (2θ from 10° to 90°):
index  2θ (°)  intensity
1 3 0  29.02  51.0
0 5 1  30.31  28.0
1 1 2  30.51  55.2
0 3 3  33.13  92.9
1 4 1  34.23  100.0
0 6 0  34.71  78.4
1 0 3  36.79  38.5
1 2 3  38.64  30.0
2 0 0  47.49  33.3
2 3 3  59.14  42.1



DyY4Lu2Ni2Te2: computed powder X-ray diffraction pattern (a wavelength of 1.5418 Å), based on the GGA-PBE geometry in OQMD.
Lines closer than 0.1° are merged.

Structural model:
Cell lengths 3.849, 15.550, 9.541 Å; angles 90.00, 90.00, 90.00 degrees
Space group Imm2 (No. 44)
Inequivalent atoms, fractional coordinates:
Dy (0.000, 0.000, 0.000) [2 per cell]
Y (0.000, 0.316, 0.621) [4 per cell]
Y (0.000, 0.354, 0.268) [4 per cell]
Lu (0.000, 0.133, 0.417) [4 per cell]
Ni (0.000, 0.241, 0.928) [4 per cell]
Te (0.000, 0.000, 0.661) [2 per cell]
Te (0.000, 0.500, 0.767) [2 per cell]

Main lines, by angle (2θ from 10° to 90°):
index  2θ (°)  intensity
0 1 3  28.65  14.5
0 5 1  30.23  15.6
1 1 2  30.39  45.6
0 3 3  33.05  58.1
1 4 1  34.10  100.0
0 6 0  34.59  58.7
1 1 4  45.10  14.0
2 0 0  47.23  26.3
1 7 2  51.20  14.6
2 3 3  58.85  21.9



Dy2Y2Lu3Ni2Te2: computed powder X-ray diffraction pattern (a wavelength of 1.5418 Å), based on the GGA-PBE geometry in OQMD.
Lines closer than 0.1° are merged.

Structural model:
Cell lengths 3.814, 15.464, 9.612 Å; angles 90.00, 90.00, 90.00 degrees
Space group Imm2 (No. 44)
Inequivalent atoms, fractional coordinates:
Dy (0.000, 0.132, 0.000) [4 per cell]
Y (0.000, 0.315, 0.202) [4 per cell]
Lu (0.000, 0.000, 0.577) [2 per cell]
Lu (0.000, 0.355, 0.855) [4 per cell]
Ni (0.000, 0.235, 0.502) [4 per cell]
Te (0.000, 0.000, 0.246) [2 per cell]
Te (0.000, 0.500, 0.341) [2 per cell]

Main lines, by angle (2θ from 10° to 90°):
index  2θ (°)  intensity
1 1 2  30.48  50.7
0 3 3  32.92  61.1
1 4 1  34.32  100.0
1 3 2  34.71  27.3
0 6 0  34.81  16.8
1 0 3  36.63  15.2
1 1 4  44.97  15.6
2 0 0  47.69  25.6
1 7 2  51.44  25.1
2 3 3  59.16  22.8



Dy4YLu2Ni2Te2: computed powder X-ray diffraction pattern (a wavelength of 1.5418 Å), based on the GGA-PBE geometry in OQMD.
Lines closer than 0.1° are merged.

Structural model:
Cell lengths 3.844, 15.563, 9.480 Å; angles 90.00, 90.00, 90.00 degrees
Space group Imm2 (No. 44)
Inequivalent atoms, fractional coordinates:
Dy (0.000, 0.147, 0.000) [4 per cell]
Dy (0.000, 0.185, 0.353) [4 per cell]
Y (0.000, 0.500, 0.732) [2 per cell]
Lu (0.000, 0.366, 0.149) [4 per cell]
Ni (0.000, 0.260, 0.660) [4 per cell]
Te (0.000, 0.000, 0.501) [2 per cell]
Te (0.000, 0.500, 0.391) [2 per cell]

Main lines, by angle (2θ from 10° to 90°):
index  2θ (°)  intensity
1 0 1  25.00  25.0
1 3 0  28.87  31.1
1 1 2  30.49  42.8
0 3 3  33.20  81.0
1 4 1  34.13  100.0
0 6 0  34.64  83.9
1 2 3  38.66  18.4
2 0 0  47.29  29.1
1 7 2  51.25  22.6
2 3 3  59.00  31.3



Dy2Y2Lu3Ni2Te2: computed powder X-ray diffraction pattern (a wavelength of 1.5418 Å), based on the GGA-PBE geometry in OQMD.
Lines closer than 0.1° are merged.

Structural model:
Cell lengths 3.834, 15.477, 9.532 Å; angles 90.00, 90.00, 90.00 degrees
Space group Imm2 (No. 44)
Inequivalent atoms, fractional coordinates:
Dy (0.000, 0.133, 0.000) [4 per cell]
Y (0.000, 0.354, 0.852) [4 per cell]
Lu (0.000, 0.000, 0.583) [2 per cell]
Lu (0.000, 0.316, 0.202) [4 per cell]
Ni (0.000, 0.238, 0.514) [4 per cell]
Te (0.000, 0.000, 0.247) [2 per cell]
Te (0.000, 0.500, 0.344) [2 per cell]

Main lines, by angle (2θ from 10° to 90°):
index  2θ (°)  intensity
1 0 1  25.03  23.6
0 5 1  30.36  30.6
1 1 2  30.47  50.8
0 3 3  33.11  81.4
1 4 1  34.24  100.0
0 6 0  34.72  91.5
1 0 3  36.73  23.9
1 2 3  38.60  22.4
2 0 0  47.42  34.4
2 3 3  59.05  31.0



Dy4Y2LuNi2Te2: computed powder X-ray diffraction pattern (a wavelength of 1.5418 Å), based on the GGA-PBE geometry in OQMD.
Lines closer than 0.1° are merged.

Structural model:
Cell lengths 3.839, 15.645, 9.584 Å; angles 90.00, 90.00, 90.00 degrees
Space group Imm2 (No. 44)
Inequivalent atoms, fractional coordinates:
Dy (0.000, 0.132, 0.000) [4 per cell]
Dy (0.000, 0.316, 0.201) [4 per cell]
Y (0.000, 0.355, 0.852) [4 per cell]
Lu (0.000, 0.000, 0.582) [2 per cell]
Ni (0.000, 0.239, 0.511) [4 per cell]
Te (0.000, 0.000, 0.247) [2 per cell]
Te (0.000, 0.500, 0.345) [2 per cell]

Main lines, by angle (2θ from 10° to 90°):
index  2θ (°)  intensity
0 5 1  30.04  28.3
1 1 2  30.37  49.1
0 3 3  32.88  76.9
1 4 1  34.03  100.0
0 6 0  34.39  22.6
1 3 2  34.52  60.8
1 0 3  36.59  20.8
1 2 3  38.42  21.1
2 0 0  47.36  29.3
2 3 3  58.84  34.6



Dy2Y4LuNi2Te2: computed powder X-ray diffraction pattern (a wavelength of 1.5418 Å), based on the GGA-PBE geometry in OQMD.
Lines closer than 0.1° are merged.

Structural model:
Cell lengths 3.846, 15.611, 9.575 Å; angles 90.00, 90.00, 90.00 degrees
Space group Imm2 (No. 44)
Inequivalent atoms, fractional coordinates:
Dy (0.000, 0.184, 0.000) [4 per cell]
Y (0.000, 0.146, 0.650) [4 per cell]
Y (0.000, 0.369, 0.799) [4 per cell]
Lu (0.000, 0.500, 0.381) [2 per cell]
Ni (0.000, 0.262, 0.309) [4 per cell]
Te (0.000, 0.000, 0.145) [2 per cell]
Te (0.000, 0.500, 0.045) [2 per cell]

Main lines, by angle (2θ from 10° to 90°):
index  2θ (°)  intensity
1 3 0  28.87  38.5
0 5 1  30.11  33.5
1 1 2  30.36  52.1
0 3 3  32.92  89.7
1 4 1  34.04  100.0
0 6 0  34.51  91.0
1 0 3  36.59  34.2
1 2 3  38.42  32.6
2 0 0  47.27  33.8
2 3 3  58.81  38.7